1.
Calculated powder diffraction line list of Tb2GeO6 for CuKα, from a PBE-relaxed structure.
No peak broadening, texture or thermal motion is included.

Atomic structure:
a b c (Å): 4.9764 4.9764 10.0349
angles (deg): 90.00 90.00 90.00
Space group P4_2/mnm (No. 136)
Inequivalent atoms, fractional coordinates:
Tb1 0.0000 0.0000 0.1704 (multiplicity 4)
Ge1 0.0000 0.0000 0.5000 (multiplicity 2)
O1 0.1832 0.1832 0.3588 (multiplicity 8)
O2 0.2279 0.2279 0.0000 (multiplicity 4)

Top 8 peaks for 2θ = 10–90°, sorted by position:
| 2θ (°) | d [Å] | Rel. int. | index |
| --- | --- | --- | --- |
| 25.31 | 3.519 | 100 | 1 1 0 |
| 32.25 | 2.776 | 86 | 1 0 3 |
| 36.10 | 2.488 | 24 | 2 0 0 |
| 49.17 | 1.853 | 68 | 2 1 3 |
| 51.97 | 1.759 | 17 | 2 2 0 |
| 58.67 | 1.574 | 16 | 3 1 0 |
| 61.38 | 1.511 | 16 | 1 1 6 |
| 62.50 | 1.486 | 19 | 3 0 3 |

2.
Calculated powder diffraction line list of Tb2GeO for CuKα, from a PBE-relaxed structure.
No peak broadening, texture or thermal motion is included.

Atomic structure:
a b c (Å): 5.8048 5.7173 11.7446
angles (deg): 90.00 115.86 90.00
Space group P2/c (No. 13)
Inequivalent atoms, fractional coordinates:
Tb1 0.0944 0.2162 0.1066 (multiplicity 4)
Tb2 0.3118 0.2324 0.8583 (multiplicity 4)
Ge1 0.3886 0.2682 0.3742 (multiplicity 4)
O1 0.0495 0.1749 0.6219 (multiplicity 4)

Top 8 peaks for 2θ = 10–90°, sorted by position:
| 2θ (°) | d [Å] | Rel. int. | index |
| --- | --- | --- | --- |
| 27.04 | 3.297 | 76 | 1 1 1 |
| 28.28 | 3.156 | 86 | 1 1 -3 |
| 30.87 | 2.896 | 99 | 2 0 -2 |
| 31.29 | 2.859 | 100 | 0 2 0 |
| 33.93 | 2.642 | 79 | 0 0 4 |
| 44.53 | 2.035 | 63 | 2 2 -2 |
| 46.82 | 1.940 | 56 | 0 2 4 |
| 48.09 | 1.892 | 32 | 2 0 -6 |

3.
Calculated powder diffraction line list of Tb4Ge2O for CuKα, from a PBE-relaxed structure.
No peak broadening, texture or thermal motion is included.

Atomic structure:
a b c (Å): 6.5374 6.6127 8.2784
angles (deg): 90.00 108.34 90.00
Space group P2_1/m (No. 11)
Inequivalent atoms, fractional coordinates:
Tb1 0.0029 0.0007 0.2619 (multiplicity 4)
Tb2 0.4081 0.7500 0.0867 (multiplicity 2)
Tb3 0.4352 0.7500 0.6273 (multiplicity 2)
Ge1 0.2153 0.2500 0.0468 (multiplicity 2)
Ge2 0.2515 0.2500 0.5672 (multiplicity 2)
O1 0.2341 0.7500 0.8065 (multiplicity 2)

Top 8 peaks for 2θ = 10–90°, sorted by position:
| 2θ (°) | d [Å] | Rel. int. | index |
| --- | --- | --- | --- |
| 26.40 | 3.376 | 28 | 0 1 2 |
| 30.55 | 2.926 | 100 | 2 0 -2 |
| 30.64 | 2.918 | 92 | 1 2 0 |
| 33.49 | 2.676 | 57 | 2 1 -2 |
| 35.49 | 2.529 | 90 | 1 2 -2 |
| 43.74 | 2.069 | 34 | 1 0 -4 |
| 51.03 | 1.790 | 32 | 3 2 -2 |
| 64.77 | 1.439 | 24 | 2 4 -2 |

4.
Calculated powder diffraction line list of Tb3GeO6 for CuKα, from a PBE-relaxed structure.
No peak broadening, texture or thermal motion is included.

Atomic structure:
a b c (Å): 8.9618 11.1791 5.5374
angles (deg): 90.00 90.00 90.00
Space group Cmc2_1 (No. 36)
Inequivalent atoms, fractional coordinates:
Tb1 0.0000 0.1007 0.0000 (multiplicity 4)
Tb2 0.1937 0.3945 0.9475 (multiplicity 8)
Ge1 0.0000 0.3258 0.4310 (multiplicity 4)
O1 0.0000 0.2730 0.7717 (multiplicity 4)
O2 0.0000 0.4749 0.2054 (multiplicity 4)
O3 0.1514 0.2445 0.2642 (multiplicity 8)
O4 0.1606 0.0145 0.7241 (multiplicity 8)

Top 8 peaks for 2θ = 10–90°, sorted by position:
| 2θ (°) | d [Å] | Rel. int. | index |
| --- | --- | --- | --- |
| 30.23 | 2.956 | 100 | 2 2 1 |
| 30.59 | 2.923 | 34 | 1 3 1 |
| 30.99 | 2.886 | 16 | 3 1 0 |
| 32.33 | 2.769 | 21 | 0 0 2 |
| 45.39 | 1.998 | 20 | 3 1 2 |
| 46.15 | 1.967 | 19 | 0 4 2 |
| 51.02 | 1.790 | 17 | 3 5 0 |
| 59.63 | 1.551 | 14 | 5 3 1 |

5.
Calculated powder diffraction line list of TlGeTeO6 for CuKα, from a PBE-relaxed structure.
No peak broadening, texture or thermal motion is included.

Atomic structure:
a b c (Å): 5.1897 5.1897 5.3243
angles (deg): 90.00 90.00 120.00
Space group P312 (No. 149)
Inequivalent atoms, fractional coordinates:
Tl1 0.0000 0.0000 0.0000 (multiplicity 1)
Ge1 0.6667 0.3333 0.5000 (multiplicity 1)
Te1 0.3333 0.6667 0.5000 (multiplicity 1)
O1 0.3811 0.0046 0.2969 (multiplicity 6)

Top 8 peaks for 2θ = 10–90°, sorted by position:
| 2θ (°) | d [Å] | Rel. int. | index |
| --- | --- | --- | --- |
| 25.94 | 3.434 | 100 | 1 0 1 |
| 34.57 | 2.595 | 31 | 1 1 0 |
| 43.72 | 2.070 | 23 | 2 0 1 |
| 49.02 | 1.858 | 36 | 1 1 2 |
| 55.68 | 1.651 | 11 | 1 0 3 |
| 56.90 | 1.618 | 23 | 2 1 1 |
| 61.94 | 1.498 | 10 | 3 0 0 |
| 78.87 | 1.214 | 9 | 4 -1 1 |

6.
Calculated powder diffraction line list of ThGe2O8 for CuKα, from a PBE-relaxed structure.
No peak broadening, texture or thermal motion is included.

Atomic structure:
a b c (Å): 6.5533 6.5533 10.0765
angles (deg): 90.00 90.00 90.00
Space group I4/mmm (No. 139)
Inequivalent atoms, fractional coordinates:
Th1 0.0000 0.0000 0.0000 (multiplicity 2)
Ge1 0.0000 0.5000 0.2500 (multiplicity 4)
O1 0.0000 0.2862 0.1436 (multiplicity 16)

Top 8 peaks for 2θ = 10–90°, sorted by position:
| 2θ (°) | d [Å] | Rel. int. | index |
| --- | --- | --- | --- |
| 16.13 | 5.494 | 100 | 1 0 1 |
| 26.13 | 3.411 | 71 | 1 1 2 |
| 27.22 | 3.277 | 32 | 2 0 0 |
| 31.80 | 2.814 | 18 | 2 1 1 |
| 40.86 | 2.209 | 26 | 2 1 3 |
| 45.41 | 1.997 | 15 | 2 0 4 |
| 47.44 | 1.917 | 27 | 3 1 2 |
| 53.75 | 1.705 | 15 | 2 2 4 |

7.
Calculated powder diffraction line list of ThZrGe2O8 for CuKα, from a PBE-relaxed structure.
No peak broadening, texture or thermal motion is included.

Atomic structure:
a b c (Å): 7.0730 7.0730 6.4455
angles (deg): 90.00 90.00 90.00
Space group I-4m2 (No. 119)
Inequivalent atoms, fractional coordinates:
Th1 0.0000 0.0000 0.0000 (multiplicity 2)
Zr1 0.0000 0.5000 0.2500 (multiplicity 2)
Ge1 0.0000 0.0000 0.5000 (multiplicity 2)
Ge2 0.0000 0.5000 0.7500 (multiplicity 2)
O1 0.0000 0.1924 0.3216 (multiplicity 8)
O2 0.0000 0.3242 0.9446 (multiplicity 8)

Top 8 peaks for 2θ = 10–90°, sorted by position:
| 2θ (°) | d [Å] | Rel. int. | index |
| --- | --- | --- | --- |
| 18.62 | 4.764 | 35 | 1 0 1 |
| 25.18 | 3.536 | 100 | 2 0 0 |
| 33.07 | 2.709 | 76 | 1 1 2 |
| 35.91 | 2.501 | 24 | 2 2 0 |
| 49.61 | 1.837 | 63 | 3 1 2 |
| 51.70 | 1.768 | 16 | 4 0 0 |
| 58.35 | 1.582 | 15 | 4 2 0 |
| 62.75 | 1.481 | 19 | 3 3 2 |

8.
Calculated powder diffraction line list of TiGeO3 for CuKα, from a PBE-relaxed structure.
No peak broadening, texture or thermal motion is included.

Atomic structure:
a b c (Å): 5.0463 5.0463 21.2345
angles (deg): 90.00 90.00 120.00
Space group R-3 (No. 148, hexagonal axes)
Inequivalent atoms, fractional coordinates:
Ti1 0.0000 0.0000 0.1604 (multiplicity 6)
Ge1 0.0000 0.0000 0.4034 (multiplicity 6)
O1 0.0005 0.3424 0.4494 (multiplicity 18)

Top 8 peaks for 2θ = 10–90°, sorted by position:
| 2θ (°) | d [Å] | Rel. int. | index |
| --- | --- | --- | --- |
| 12.51 | 7.078 | 100 | 0 0 3 |
| 20.75 | 4.280 | 27 | 1 0 1 |
| 26.42 | 3.374 | 99 | 1 0 4 |
| 29.32 | 3.046 | 80 | 0 1 5 |
| 35.58 | 2.523 | 56 | 1 1 0 |
| 53.15 | 1.723 | 47 | 1 1 9 |
| 63.90 | 1.457 | 26 | 3 0 0 |
| 64.27 | 1.449 | 28 | 2 -1 12 |